This entry pairs a crystal structure of Li2MnVP4O14 with its computed powder X-ray diffraction pattern. Radiation: CuKα. Structure: the PBE+U geometry in the Materials Project.
Neutral-atom scattering factors, no anomalous dispersion.

Most intense lines, 2θ = 5–70°, in order of falling intensity:
hkl, two_theta, intensity
0 1 1, 16.72, 100
0 1 -1, 17.21, 92
1 1 2, 28.86, 72
1 1 -2, 29.41, 49
1 1 -1, 22.53, 43
1 1 1, 22.17, 41
1 0 -1, 22.06, 38
1 -1 0, 26.75, 38
1 2 1, 29.24, 27
1 -1 1, 29.00, 27

a b c (Å): 4.8548 7.0817 8.3375
angles (deg): 88.24 89.49 71.44
Space group P1 (No. 1)
Symmetry-distinct sites (fractional):
1 Li 0.0000 0.0000 0.0000 x1
2 Li 0.3482 0.6592 0.5032 x1
3 Mn 0.9665 0.0582 0.6428 x1
4 V 0.3869 0.6047 0.1434 x1
5 P 0.3956 0.2389 0.4298 x1
6 P 0.5783 0.8072 0.8195 x1
7 P 0.7760 0.8493 0.3248 x1
8 P 0.9597 0.4176 0.9330 x1
9 O 0.0407 0.2182 0.8519 x1
10 O 0.1197 0.1866 0.4717 x1
11 O 0.2184 0.4866 0.9708 x1
12 O 0.3174 0.4412 0.3430 x1
13 O 0.3640 0.8522 0.6775 x1
14 O 0.4240 0.8249 0.9817 x1
15 O 0.5644 0.7281 0.3188 x1
16 O 0.5807 0.0820 0.3011 x1
17 O 0.5814 0.2339 0.5794 x1
18 O 0.7674 0.5776 0.7972 x1
19 O 0.7702 0.4195 0.0821 x1
20 O 0.7860 0.9328 0.8156 x1
21 O 0.9315 0.8235 0.4854 x1
22 O 0.9845 0.8166 0.1809 x1